Structure and computed powder diffractogram of UPa4 (a structure optimized by DFT (GGA-PBE); a wavelength of 1.5418 Å).
Lines closer than 0.1° are merged.

Peak list (8 most intense, 10 to 80 degrees two-theta, in order of rising 2θ)
(1 0 2), 2.900 Å, 2θ 30.83, rel. 341
(2 1 0), 2.700 Å, 2θ 33.18, rel. 626
(1 1 2), 2.614 Å, 2θ 34.30, rel. 1000
(2 1 1), 2.500 Å, 2θ 35.93, rel. 882
(2 1 2), 2.091 Å, 2θ 43.26, rel. 192
(3 1 1), 1.834 Å, 2θ 49.71, rel. 255
(3 0 2), 1.719 Å, 2θ 53.29, rel. 177
(3 2 3), 1.333 Å, 2θ 70.64, rel. 175

Structure:
Lattice parameters (Å, degrees): 6.037 6.037 6.613 90.00 90.00 90.00
Atoms (fractional coordinates):
1 U 0.000 0.000 0.000
2 U 0.500 0.500 0.500
3 Pa 0.135 0.271 0.381
4 Pa 0.229 0.365 0.881
5 Pa 0.271 0.865 0.619
6 Pa 0.365 0.771 0.119
7 Pa 0.635 0.229 0.119
8 Pa 0.729 0.135 0.619
9 Pa 0.771 0.635 0.881
10 Pa 0.865 0.729 0.381